This entry pairs a crystal structure of Ac4LaSn15 with its calculated powder XRD pattern. Radiation: copper Kα. Structure: a cell relaxed with PBE.
Lines closer than 0.1° are merged.

Atomic structure:
```
data_Ac4LaSn15
_space_group_name_H-M_alt 'P 4/m m m'
_space_group_IT_number 123
_space_group_name_Hall '-P 4 2'
_cell_length_a 4.8559
_cell_length_b 4.8559
_cell_length_c 24.9071
_cell_angle_alpha 90.00
_cell_angle_beta 90.00
_cell_angle_gamma 90.00
loop_
_atom_site_label
_atom_site_type_symbol
_atom_site_fract_x
_atom_site_fract_y
_atom_site_fract_z
Ac1 Ac 0.0000 0.0000 0.1008
Ac2 Ac 0.0000 0.0000 0.3030
La1 La 0.0000 0.0000 0.5000
Sn1 Sn 0.0000 0.5000 0.0000
Sn2 Sn 0.0000 0.5000 0.2018
Sn3 Sn 0.0000 0.5000 0.4036
Sn4 Sn 0.5000 0.5000 0.1011
Sn5 Sn 0.5000 0.5000 0.3026
Sn6 Sn 0.5000 0.5000 0.5000
```

Largest 10 diffraction maxima, by intensity, 2θ from 5° to 70°:
- 2θ 31.65, I 100, hkl 1 1 5
- 2θ 37.03, I 33, hkl 2 0 0
- 2θ 63.38, I 29, hkl 3 1 5
- 2θ 52.64, I 24, hkl 2 0 10
- 2θ 36.06, I 17, hkl 0 0 10
- 2θ 62.09, I 15, hkl 1 1 15
- 2θ 66.10, I 13, hkl 2 2 10
- 2θ 53.36, I 12, hkl 2 2 0
- 2θ 18.27, I 4, hkl 1 0 0
- 2θ 25.62, I 4, hkl 1 0 5

=====

This entry pairs a crystal structure of Zn4InFe with its calculated powder XRD pattern. Radiation: copper Kα. Structure: a cell relaxed with PBE.
Lines closer than 0.1° are merged.

Atomic structure:
```
data_Zn4InFe
_space_group_name_H-M_alt 'F -4 3 m'
_space_group_IT_number 216
_space_group_name_Hall 'F -4 2 3'
_cell_length_a 7.2129
_cell_length_b 7.2129
_cell_length_c 7.2129
_cell_angle_alpha 90.00
_cell_angle_beta 90.00
_cell_angle_gamma 90.00
loop_
_atom_site_label
_atom_site_type_symbol
_atom_site_fract_x
_atom_site_fract_y
_atom_site_fract_z
Zn1 Zn 0.1239 0.1239 0.1239
In1 In 0.0000 0.0000 0.5000
Fe1 Fe 0.2500 0.2500 0.7500
```

Largest 10 diffraction maxima, by intensity, 2θ from 5° to 70°:
- 2θ 41.52, I 100, hkl 3 1 1
- 2θ 43.46, I 34, hkl 2 2 2
- 2θ 35.19, I 34, hkl 2 2 0
- 2θ 67.47, I 29, hkl 5 1 1
- 2θ 63.15, I 11, hkl 4 2 2
- 2θ 24.69, I 5, hkl 2 0 0
- 2θ 21.34, I 4, hkl 1 1 1
- 2θ 50.62, I 2, hkl 4 0 0
- 2θ 57.11, I 2, hkl 4 2 0
- 2θ 55.53, I 1, hkl 3 3 1

=====

This entry pairs a crystal structure of NpHgC2O8 with its calculated powder XRD pattern. Radiation: copper Kα. Structure: a cell relaxed with PBE.
Lines closer than 0.1° are merged.

Atomic structure:
```
data_NpHgC2O8
_space_group_name_H-M_alt 'C 1 2/m 1'
_space_group_IT_number 12
_cell_length_a 8.1765
_cell_length_b 5.4940
_cell_length_c 8.7066
_cell_angle_alpha 90.00
_cell_angle_beta 109.67
_cell_angle_gamma 90.00
loop_
_space_group_symop_operation_xyz
'x,y,z'
'-x,-y,-z'
'-x,y,-z'
'x,-y,z'
'x+1/2,y+1/2,z'
'-x+1/2,-y+1/2,-z'
'-x+1/2,y+1/2,-z'
'x+1/2,-y+1/2,z'
loop_
_atom_site_label
_atom_site_type_symbol
_atom_site_fract_x
_atom_site_fract_y
_atom_site_fract_z
Np1 Np 0.0000 0.0000 0.0000
Hg1 Hg 0.0000 0.0000 0.5000
C1 C 0.1327 0.5000 0.2688
O1 O 0.0797 0.2951 0.2015
O2 O 0.2095 0.0000 0.9808
O3 O 0.2355 0.5000 0.4253
```

Largest 10 diffraction maxima, by intensity, 2θ from 5° to 70°:
- 2θ 19.85, I 100, hkl 1 1 0
- 2θ 26.47, I 75, hkl 1 1 -2
- 2θ 21.68, I 41, hkl 0 0 2
- 2θ 32.38, I 38, hkl 1 1 2
- 2θ 23.10, I 35, hkl 2 0 0
- 2θ 39.49, I 29, hkl 0 2 2
- 2θ 25.87, I 23, hkl 2 0 -2
- 2θ 38.73, I 22, hkl 3 1 0
- 2θ 32.60, I 20, hkl 0 2 0
- 2θ 54.52, I 18, hkl 1 3 -2

=====

This entry pairs a crystal structure of Ac9Ni3Os with its calculated powder XRD pattern. Radiation: copper Kα. Structure: a cell relaxed with PBE.
Lines closer than 0.1° are merged.

Atomic structure:
```
data_Ac9Ni3Os
_space_group_name_H-M_alt 'P 1 21/m 1'
_space_group_IT_number 11
_cell_length_a 7.1867
_cell_length_b 11.0065
_cell_length_c 11.8881
_cell_angle_alpha 90.00
_cell_angle_beta 96.82
_cell_angle_gamma 90.00
loop_
_space_group_symop_operation_xyz
'x,y,z'
'-x,-y,-z'
'-x,y+1/2,-z'
'x,-y+1/2,z'
loop_
_atom_site_label
_atom_site_type_symbol
_atom_site_fract_x
_atom_site_fract_y
_atom_site_fract_z
Ac1 Ac 0.1181 0.2500 0.1919
Ac2 Ac 0.1487 0.5752 0.3812
Ac3 Ac 0.2283 0.2500 0.8710
Ac4 Ac 0.2723 0.5674 0.0439
Ac5 Ac 0.3576 0.2500 0.5363
Ac6 Ac 0.3625 0.5822 0.7167
Ni1 Ni 0.0489 0.0047 0.8329
Ni2 Ni 0.5000 0.0000 0.5000
Os1 Os 0.4762 0.2500 0.0845
```

Largest 10 diffraction maxima, by intensity, 2θ from 5° to 70°:
- 2θ 27.33, I 100, hkl 1 3 0
- 2θ 28.81, I 42, hkl 2 1 -2
- 2θ 52.80, I 32, hkl 0 3 6
- 2θ 27.89, I 29, hkl 0 2 3
- 2θ 28.36, I 27, hkl 1 1 3
- 2θ 42.93, I 22, hkl 3 2 1
- 2θ 24.02, I 22, hkl 0 1 3
- 2θ 31.74, I 21, hkl 1 2 3
- 2θ 26.95, I 20, hkl 2 0 1
- 2θ 49.72, I 19, hkl 0 6 0

=====

This entry pairs a crystal structure of Ti3GaPd6 with its calculated powder XRD pattern. Radiation: copper Kα. Structure: a cell relaxed with PBE.
Lines closer than 0.1° are merged.

Atomic structure:
```
data_Ti3GaPd6
_space_group_name_H-M_alt 'P 1 21/m 1'
_space_group_IT_number 11
_cell_length_a 7.4065
_cell_length_b 4.6082
_cell_length_c 9.6620
_cell_angle_alpha 90.00
_cell_angle_beta 110.73
_cell_angle_gamma 90.00
loop_
_space_group_symop_operation_xyz
'x,y,z'
'-x,-y,-z'
'-x,y+1/2,-z'
'x,-y+1/2,z'
loop_
_atom_site_label
_atom_site_type_symbol
_atom_site_fract_x
_atom_site_fract_y
_atom_site_fract_z
Ti1 Ti 0.0747 0.2500 0.2157
Ti2 Ti 0.2969 0.2500 0.0193
Ti3 Ti 0.3441 0.7500 0.3745
Ga1 Ga 0.1346 0.7500 0.5804
Pd1 Pd 0.0732 0.2500 0.7126
Pd2 Pd 0.1022 0.7500 0.0751
Pd3 Pd 0.2705 0.2500 0.5151
Pd4 Pd 0.2990 0.7500 0.8658
Pd5 Pd 0.4843 0.2500 0.3281
Pd6 Pd 0.4965 0.2500 0.8334
```

Largest 10 diffraction maxima, by intensity, 2θ from 5° to 70°:
- 2θ 41.97, I 100, hkl 3 1 -2
- 2θ 42.26, I 97, hkl 1 1 -4
- 2θ 39.09, I 73, hkl 0 2 0
- 2θ 42.87, I 45, hkl 2 1 2
- 2θ 37.92, I 42, hkl 2 0 2
- 2θ 55.60, I 27, hkl 2 2 2
- 2θ 26.97, I 21, hkl 1 1 1
- 2θ 66.28, I 13, hkl 4 0 -6
- 2θ 37.24, I 11, hkl 1 0 -4
- 2θ 68.25, I 9, hkl 1 0 6

=====

This entry pairs a crystal structure of Nd8YEr2 with its calculated powder XRD pattern. Radiation: copper Kα. Structure: a cell relaxed with PBE.
Lines closer than 0.1° are merged.

Atomic structure:
```
data_Nd8YEr2
_space_group_name_H-M_alt 'P -1'
_space_group_IT_number 2
_cell_length_a 6.2936
_cell_length_b 8.1397
_cell_length_c 8.1538
_cell_angle_alpha 107.37
_cell_angle_beta 97.40
_cell_angle_gamma 104.98
loop_
_space_group_symop_operation_xyz
'x,y,z'
'-x,-y,-z'
loop_
_atom_site_label
_atom_site_type_symbol
_atom_site_fract_x
_atom_site_fract_y
_atom_site_fract_z
Nd1 Nd 0.0463 0.1836 0.4102
Nd2 Nd 0.1364 0.5451 0.2314
Nd3 Nd 0.2290 0.9101 0.0468
Nd4 Nd 0.3182 0.2739 0.8646
Y1 Y 0.5000 0.0000 0.5000
Er1 Er 0.4100 0.6360 0.6802
```

Largest 10 diffraction maxima, by intensity, 2θ from 5° to 70°:
- 2θ 30.05, I 100, hkl 0 1 2
- 2θ 34.85, I 67, hkl 2 0 1
- 2θ 59.58, I 33, hkl 3 2 0
- 2θ 30.10, I 33, hkl -2 1 1
- 2θ 50.07, I 32, hkl 1 3 1
- 2θ 59.47, I 19, hkl 2 1 3
- 2θ 50.19, I 16, hkl 3 1 -2
- 2θ 62.54, I 12, hkl 2 4 -2
- 2θ 59.68, I 5, hkl 4 -1 0
- 2θ 62.34, I 4, hkl 0 2 4

=====

This entry pairs a crystal structure of Dy2Y2Pt3 with its calculated powder XRD pattern. Radiation: copper Kα. Structure: a cell relaxed with PBE.
Lines closer than 0.1° are merged.

Atomic structure:
```
data_Dy2Y2Pt3
_space_group_name_H-M_alt 'I 21 3'
_space_group_IT_number 199
_space_group_name_Hall 'I 2b 2c 3'
_cell_length_a 8.7421
_cell_length_b 8.7421
_cell_length_c 8.7421
_cell_angle_alpha 90.00
_cell_angle_beta 90.00
_cell_angle_gamma 90.00
loop_
_atom_site_label
_atom_site_type_symbol
_atom_site_fract_x
_atom_site_fract_y
_atom_site_fract_z
Dy1 Dy 0.1871 0.3129 0.6871
Y1 Y 0.0637 0.0637 0.0637
Pt1 Pt 0.0000 0.2500 0.3760
```

Largest 10 diffraction maxima, by intensity, 2θ from 5° to 70°:
- 2θ 32.38, I 100, hkl 3 0 1
- 2θ 38.53, I 56, hkl 3 1 2
- 2θ 65.86, I 28, hkl 6 1 1
- 2θ 53.44, I 25, hkl 4 3 1
- 2θ 46.45, I 20, hkl 4 0 2
- 2θ 24.95, I 17, hkl 2 1 1
- 2θ 48.87, I 14, hkl 3 3 2
- 2θ 69.71, I 11, hkl 5 1 4
- 2θ 51.19, I 10, hkl 4 2 2
- 2θ 67.80, I 9, hkl 6 2 0

=====

This entry pairs a crystal structure of Tb3Nd9Ho2 with its calculated powder XRD pattern. Radiation: copper Kα. Structure: a cell relaxed with PBE.
Lines closer than 0.1° are merged.

Atomic structure:
```
data_Tb3Nd9Ho2
_space_group_name_H-M_alt 'P 63/m'
_space_group_IT_number 176
_space_group_name_Hall '-P 6c'
_cell_length_a 9.0997
_cell_length_b 9.0997
_cell_length_c 13.9367
_cell_angle_alpha 90.00
_cell_angle_beta 90.00
_cell_angle_gamma 120.00
loop_
_atom_site_label
_atom_site_type_symbol
_atom_site_fract_x
_atom_site_fract_y
_atom_site_fract_z
Tb1 Tb 0.0802 0.2508 0.2500
Nd1 Nd 0.0800 0.4810 0.7500
Nd2 Nd 0.1323 0.7255 0.5408
Ho1 Ho 0.3333 0.6667 0.1427
```

Largest 10 diffraction maxima, by intensity, 2θ from 5° to 70°:
- 2θ 32.70, I 100, hkl 2 1 2
- 2θ 30.69, I 84, hkl 2 1 1
- 2θ 53.26, I 52, hkl 1 4 0
- 2θ 29.73, I 43, hkl 2 0 3
- 2θ 34.12, I 29, hkl 1 0 5
- 2θ 35.81, I 25, hkl 2 1 3
- 2θ 25.57, I 25, hkl 0 0 4
- 2θ 32.36, I 24, hkl 1 1 4
- 2θ 59.99, I 17, hkl 1 4 4
- 2θ 11.23, I 13, hkl 1 0 0

=====

This entry pairs a crystal structure of Rb5Cl2F3 with its calculated powder XRD pattern. Radiation: copper Kα. Structure: a cell relaxed with PBE.
Lines closer than 0.1° are merged.

Atomic structure:
```
data_Rb5Cl2F3
_space_group_name_H-M_alt 'C 1 2/m 1'
_space_group_IT_number 12
_cell_length_a 15.2179
_cell_length_b 4.3297
_cell_length_c 10.8888
_cell_angle_alpha 90.00
_cell_angle_beta 125.33
_cell_angle_gamma 90.00
loop_
_space_group_symop_operation_xyz
'x,y,z'
'-x,-y,-z'
'-x,y,-z'
'x,-y,z'
'x+1/2,y+1/2,z'
'-x+1/2,-y+1/2,-z'
'-x+1/2,y+1/2,-z'
'x+1/2,-y+1/2,z'
loop_
_atom_site_label
_atom_site_type_symbol
_atom_site_fract_x
_atom_site_fract_y
_atom_site_fract_z
Rb1 Rb 0.0000 0.0000 0.0000
Rb2 Rb 0.0795 0.0000 0.4109
Rb3 Rb 0.1913 0.5000 0.8154
Cl1 Cl 0.1734 0.5000 0.2685
F1 F 0.0000 0.5000 0.5000
F2 F 0.1144 0.0000 0.8774
```

Largest 10 diffraction maxima, by intensity, 2θ from 5° to 70°:
- 2θ 28.15, I 100, hkl 3 1 -2
- 2θ 30.79, I 94, hkl 2 0 2
- 2θ 29.87, I 55, hkl 3 1 0
- 2θ 26.68, I 53, hkl 1 1 -2
- 2θ 24.30, I 43, hkl 4 0 -1
- 2θ 37.32, I 42, hkl 5 1 -3
- 2θ 41.72, I 42, hkl 0 2 0
- 2θ 24.72, I 41, hkl 2 0 -3
- 2θ 52.74, I 38, hkl 2 2 2
- 2θ 21.74, I 38, hkl 1 1 0

=====

This entry pairs a crystal structure of ThAu6 with its calculated powder XRD pattern. Radiation: copper Kα. Structure: a cell relaxed with PBE.
Lines closer than 0.1° are merged.

Atomic structure:
```
data_ThAu6
_space_group_name_H-M_alt 'P n m a'
_space_group_IT_number 62
_cell_length_a 9.0187
_cell_length_b 5.7206
_cell_length_c 11.1449
_cell_angle_alpha 90.00
_cell_angle_beta 90.00
_cell_angle_gamma 90.00
loop_
_space_group_symop_operation_xyz
'x,y,z'
'-x,-y,-z'
'-x+1/2,-y,z+1/2'
'x+1/2,y,-z+1/2'
'x+1/2,-y+1/2,-z+1/2'
'-x+1/2,y+1/2,z+1/2'
'-x,y+1/2,-z'
'x,-y+1/2,z'
loop_
_atom_site_label
_atom_site_type_symbol
_atom_site_fract_x
_atom_site_fract_y
_atom_site_fract_z
Th1 Th 0.2402 0.2500 0.0679
Au1 Au 0.0570 0.0087 0.3042
Au2 Au 0.0694 0.7500 0.0788
Au3 Au 0.1071 0.2500 0.5203
Au4 Au 0.1547 0.7500 0.8427
Au5 Au 0.1869 0.2500 0.7790
```

Largest 10 diffraction maxima, by intensity, 2θ from 5° to 70°:
- 2θ 34.66, I 100, hkl 3 1 1
- 2θ 33.67, I 84, hkl 1 0 4
- 2θ 35.01, I 69, hkl 2 1 3
- 2θ 41.06, I 63, hkl 1 2 3
- 2θ 38.12, I 51, hkl 2 2 1
- 2θ 40.83, I 50, hkl 4 0 1
- 2θ 37.23, I 39, hkl 2 2 0
- 2θ 41.23, I 38, hkl 2 1 4
- 2θ 31.27, I 37, hkl 0 2 0
- 2θ 35.27, I 33, hkl 0 2 2

=====

This entry pairs a crystal structure of Cd8Cu4Hg with its calculated powder XRD pattern. Radiation: copper Kα. Structure: a cell relaxed with PBE.
Lines closer than 0.1° are merged.

Atomic structure:
```
data_Cd8Cu4Hg
_space_group_name_H-M_alt 'I 4/m m m'
_space_group_IT_number 139
_space_group_name_Hall '-I 4 2'
_cell_length_a 9.5894
_cell_length_b 9.5894
_cell_length_c 5.4534
_cell_angle_alpha 90.00
_cell_angle_beta 90.00
_cell_angle_gamma 90.00
loop_
_atom_site_label
_atom_site_type_symbol
_atom_site_fract_x
_atom_site_fract_y
_atom_site_fract_z
Cd1 Cd 0.0000 0.2190 0.0000
Cd2 Cd 0.0000 0.3307 0.5000
Cu1 Cu 0.2500 0.2500 0.2500
Hg1 Hg 0.0000 0.0000 0.5000
```

Largest 10 diffraction maxima, by intensity, 2θ from 5° to 70°:
- 2θ 37.63, I 100, hkl 3 2 1
- 2θ 37.52, I 60, hkl 4 0 0
- 2θ 32.47, I 55, hkl 3 0 1
- 2θ 42.55, I 46, hkl 2 2 2
- 2θ 37.96, I 42, hkl 2 0 2
- 2θ 67.77, I 31, hkl 6 3 1
- 2θ 32.85, I 31, hkl 0 0 2
- 2θ 67.99, I 23, hkl 6 0 2
- 2θ 61.82, I 23, hkl 3 2 3
- 2θ 29.46, I 13, hkl 3 1 0

=====

Please write out number 10 again, unchanged.
This entry pairs a crystal structure of ThAu6 with its calculated powder XRD pattern. Radiation: copper Kα. Structure: a cell relaxed with PBE.
Lines closer than 0.1° are merged.

Atomic structure:
```
data_ThAu6
_space_group_name_H-M_alt 'P n m a'
_space_group_IT_number 62
_cell_length_a 9.0187
_cell_length_b 5.7206
_cell_length_c 11.1449
_cell_angle_alpha 90.00
_cell_angle_beta 90.00
_cell_angle_gamma 90.00
loop_
_space_group_symop_operation_xyz
'x,y,z'
'-x,-y,-z'
'-x+1/2,-y,z+1/2'
'x+1/2,y,-z+1/2'
'x+1/2,-y+1/2,-z+1/2'
'-x+1/2,y+1/2,z+1/2'
'-x,y+1/2,-z'
'x,-y+1/2,z'
loop_
_atom_site_label
_atom_site_type_symbol
_atom_site_fract_x
_atom_site_fract_y
_atom_site_fract_z
Th1 Th 0.2402 0.2500 0.0679
Au1 Au 0.0570 0.0087 0.3042
Au2 Au 0.0694 0.7500 0.0788
Au3 Au 0.1071 0.2500 0.5203
Au4 Au 0.1547 0.7500 0.8427
Au5 Au 0.1869 0.2500 0.7790
```

Largest 10 diffraction maxima, by intensity, 2θ from 5° to 70°:
- 2θ 34.66, I 100, hkl 3 1 1
- 2θ 33.67, I 84, hkl 1 0 4
- 2θ 35.01, I 69, hkl 2 1 3
- 2θ 41.06, I 63, hkl 1 2 3
- 2θ 38.12, I 51, hkl 2 2 1
- 2θ 40.83, I 50, hkl 4 0 1
- 2θ 37.23, I 39, hkl 2 2 0
- 2θ 41.23, I 38, hkl 2 1 4
- 2θ 31.27, I 37, hkl 0 2 0
- 2θ 35.27, I 33, hkl 0 2 2

=====

Repeat the tenth record exactly.
This entry pairs a crystal structure of ThAu6 with its calculated powder XRD pattern. Radiation: copper Kα. Structure: a cell relaxed with PBE.
Lines closer than 0.1° are merged.

Atomic structure:
```
data_ThAu6
_space_group_name_H-M_alt 'P n m a'
_space_group_IT_number 62
_cell_length_a 9.0187
_cell_length_b 5.7206
_cell_length_c 11.1449
_cell_angle_alpha 90.00
_cell_angle_beta 90.00
_cell_angle_gamma 90.00
loop_
_space_group_symop_operation_xyz
'x,y,z'
'-x,-y,-z'
'-x+1/2,-y,z+1/2'
'x+1/2,y,-z+1/2'
'x+1/2,-y+1/2,-z+1/2'
'-x+1/2,y+1/2,z+1/2'
'-x,y+1/2,-z'
'x,-y+1/2,z'
loop_
_atom_site_label
_atom_site_type_symbol
_atom_site_fract_x
_atom_site_fract_y
_atom_site_fract_z
Th1 Th 0.2402 0.2500 0.0679
Au1 Au 0.0570 0.0087 0.3042
Au2 Au 0.0694 0.7500 0.0788
Au3 Au 0.1071 0.2500 0.5203
Au4 Au 0.1547 0.7500 0.8427
Au5 Au 0.1869 0.2500 0.7790
```

Largest 10 diffraction maxima, by intensity, 2θ from 5° to 70°:
- 2θ 34.66, I 100, hkl 3 1 1
- 2θ 33.67, I 84, hkl 1 0 4
- 2θ 35.01, I 69, hkl 2 1 3
- 2θ 41.06, I 63, hkl 1 2 3
- 2θ 38.12, I 51, hkl 2 2 1
- 2θ 40.83, I 50, hkl 4 0 1
- 2θ 37.23, I 39, hkl 2 2 0
- 2θ 41.23, I 38, hkl 2 1 4
- 2θ 31.27, I 37, hkl 0 2 0
- 2θ 35.27, I 33, hkl 0 2 2